Starting from a cell relaxed with PBE, the powder X-ray diffraction pattern of TbRe4Se7 was calculated for a wavelength of 1.5418 Å.
No peak broadening, texture or thermal motion is included.

Largest 10 diffraction maxima, low angle first, 2θ from 5° to 70°:
- d = 8.602 Å, 10.28 deg, I = 100.0
- d = 5.857 Å, 15.13 deg, I = 43.4
- d = 4.219 Å, 21.06 deg, I = 42.6
- d = 3.664 Å, 24.29 deg, I = 42.5
- d = 2.379 Å, 37.81 deg, I = 82.4
- d = 2.286 Å, 39.41 deg, I = 37.8
- d = 2.201 Å, 41.00 deg, I = 34.9
- d = 2.151 Å, 42.01 deg, I = 38.6
- d = 2.083 Å, 43.45 deg, I = 44.9
- d = 2.075 Å, 43.61 deg, I = 41.0

Structural model:
Cell: 4.879 17.204 6.381 Å, 90.00 102.50 90.00°
Element x y z (fractional)
Tb 0.000 0.000 0.000
Tb 0.454 0.500 0.064
Re 0.565 0.238 0.860
Re 0.565 0.762 0.860
Re 0.580 0.145 0.181
Re 0.580 0.855 0.181
Re 0.856 0.355 0.575
Re 0.856 0.645 0.575
Re 0.911 0.263 0.248
Re 0.911 0.737 0.248
Se 0.062 0.262 0.882
Se 0.062 0.738 0.882
Se 0.100 0.125 0.301
Se 0.100 0.875 0.301
Se 0.418 0.379 0.731
Se 0.418 0.621 0.731
Se 0.471 0.093 0.808
Se 0.471 0.907 0.808
Se 0.495 0.250 0.445
Se 0.495 0.750 0.445
Se 0.571 0.000 0.320
Se 0.917 0.500 0.757
Se 0.953 0.409 0.234
Se 0.953 0.591 0.234



Starting from a cell relaxed with PBE, the powder X-ray diffraction pattern of Tb2ReSe was calculated for a wavelength of 1.5418 Å.
No peak broadening, texture or thermal motion is included.

Largest 10 diffraction maxima, low angle first, 2θ from 5° to 70°:
- d = 3.098 Å, 28.82 deg, I = 24.7
- d = 2.995 Å, 29.83 deg, I = 96.8
- d = 2.945 Å, 30.35 deg, I = 100.0
- d = 2.651 Å, 33.81 deg, I = 22.9
- d = 2.324 Å, 38.75 deg, I = 25.0
- d = 2.279 Å, 39.54 deg, I = 29.4
- d = 2.046 Å, 44.26 deg, I = 80.4
- d = 1.940 Å, 46.84 deg, I = 34.9
- d = 1.740 Å, 52.61 deg, I = 50.6
- d = 1.393 Å, 67.23 deg, I = 29.9

Structural model:
Cell: 9.509 9.509 9.509 Å, 21.08 21.08 21.08°
Element x y z (fractional)
Tb 0.096 0.096 0.096
Tb 0.904 0.904 0.904
Re 0.000 0.000 0.000
Se 0.500 0.500 0.500



Starting from a cell relaxed with PBE, the powder X-ray diffraction pattern of ReTcSe4 was calculated for a wavelength of 1.5418 Å.
No peak broadening, texture or thermal motion is included.

Largest 10 diffraction maxima, low angle first, 2θ from 5° to 70°:
- d = 6.921 Å, 12.79 deg, I = 100.0
- d = 5.844 Å, 15.16 deg, I = 8.1
- d = 2.850 Å, 31.39 deg, I = 13.6
- d = 2.541 Å, 35.32 deg, I = 53.8
- d = 2.516 Å, 35.69 deg, I = 23.1
- d = 2.094 Å, 43.21 deg, I = 17.6
- d = 2.020 Å, 44.86 deg, I = 9.2
- d = 1.895 Å, 48.00 deg, I = 20.1
- d = 1.865 Å, 48.83 deg, I = 7.9
- d = 1.697 Å, 54.05 deg, I = 10.7

Structural model:
Cell: 7.253 7.253 5.967 Å, 101.37 101.37 26.04°
Element x y z (fractional)
Re 0.000 0.000 0.000
Tc 0.506 0.506 0.393
Se 0.134 0.134 0.332
Se 0.371 0.371 0.058
Se 0.602 0.602 0.816
Se 0.903 0.903 0.576



Starting from a cell relaxed with PBE, the powder X-ray diffraction pattern of VRe4Se8 was calculated for a wavelength of 1.5418 Å.
No peak broadening, texture or thermal motion is included.

Largest 10 diffraction maxima, low angle first, 2θ from 5° to 70°:
- d = 6.358 Å, 13.93 deg, I = 77.5
- d = 3.047 Å, 29.31 deg, I = 34.1
- d = 2.591 Å, 34.62 deg, I = 100.0
- d = 2.399 Å, 37.48 deg, I = 14.8
- d = 2.043 Å, 44.35 deg, I = 15.8
- d = 1.887 Å, 48.23 deg, I = 38.6
- d = 1.782 Å, 51.27 deg, I = 32.7
- d = 1.716 Å, 53.40 deg, I = 15.7
- d = 1.590 Å, 58.02 deg, I = 7.2
- d = 1.468 Å, 63.35 deg, I = 17.2

Structural model:
Cell: 7.574 7.574 7.574 Å, 56.14 56.14 56.14°
Element x y z (fractional)
V 0.000 0.000 0.000
Re 0.000 0.000 0.500
Re 0.000 0.500 0.000
Re 0.500 0.000 0.000
Re 0.500 0.500 0.500
Se 0.244 0.747 0.747
Se 0.246 0.246 0.246
Se 0.253 0.253 0.756
Se 0.253 0.756 0.253
Se 0.747 0.244 0.747
Se 0.747 0.747 0.244
Se 0.754 0.754 0.754
Se 0.756 0.253 0.253



Starting from a cell relaxed with PBE, the powder X-ray diffraction pattern of ReWSe was calculated for a wavelength of 1.5418 Å.
No peak broadening, texture or thermal motion is included.

Largest 10 diffraction maxima, low angle first, 2θ from 5° to 70°:
- d = 5.156 Å, 17.20 deg, I = 8.2
- d = 2.877 Å, 31.08 deg, I = 11.5
- d = 2.578 Å, 34.80 deg, I = 2.9
- d = 2.259 Å, 39.91 deg, I = 100.0
- d = 2.119 Å, 42.67 deg, I = 41.6
- d = 1.960 Å, 46.33 deg, I = 2.9
- d = 1.719 Å, 53.30 deg, I = 10.8
- d = 1.699 Å, 53.97 deg, I = 1.2
- d = 1.637 Å, 56.19 deg, I = 3.1
- d = 1.498 Å, 61.93 deg, I = 13.9

Structural model:
Cell: 5.574 5.574 5.574 Å, 148.82 148.82 44.68°
Element x y z (fractional)
Re 0.000 0.000 0.000
W 0.672 0.672 0.000
Se 0.336 0.336 0.000



Starting from a cell relaxed with PBE, the powder X-ray diffraction pattern of ReWSe2 was calculated for a wavelength of 1.5418 Å.
No peak broadening, texture or thermal motion is included.

Largest 10 diffraction maxima, low angle first, 2θ from 5° to 70°:
- d = 9.738 Å, 9.08 deg, I = 100.0
- d = 4.869 Å, 18.22 deg, I = 5.0
- d = 2.504 Å, 35.87 deg, I = 62.7
- d = 2.435 Å, 36.92 deg, I = 7.4
- d = 2.246 Å, 40.14 deg, I = 21.3
- d = 2.153 Å, 41.97 deg, I = 27.9
- d = 1.948 Å, 46.63 deg, I = 8.9
- d = 1.881 Å, 48.38 deg, I = 20.2
- d = 1.539 Å, 60.13 deg, I = 16.0
- d = 1.520 Å, 60.95 deg, I = 5.6

Structural model:
Cell: 9.899 9.899 9.899 Å, 17.89 17.89 17.89°
Element x y z (fractional)
Re 0.000 0.000 0.000
W 0.254 0.254 0.254
Se 0.527 0.527 0.527
Se 0.726 0.726 0.726